Calculated powder XRD pattern of Sr6MoO8 for a wavelength of 1.5418 Å, from a cell relaxed with PBE+U.

Crystal structure
Lattice parameters (Å, degrees): 6.595 6.595 6.595 69.65 69.65 69.65
Fractional positions:
Sr 0.017 0.445 0.789
Sr 0.211 0.983 0.555
Sr 0.445 0.789 0.017
Sr 0.555 0.211 0.983
Sr 0.789 0.017 0.445
Sr 0.983 0.555 0.211
Mo 0.500 0.500 0.500
O 0.166 0.166 0.166
O 0.194 0.653 0.405
O 0.347 0.595 0.806
O 0.405 0.194 0.653
O 0.595 0.806 0.347
O 0.653 0.405 0.194
O 0.806 0.347 0.595
O 0.834 0.834 0.834

Most intense lines, 10° ≤ 2θ ≤ 90°, low angle first:
| 2θ/deg | I_rel |
| --- | --- |
| 28.01 | 20.9 |
| 29.79 | 100.0 |
| 36.96 | 25.7 |
| 41.54 | 34.2 |
| 43.72 | 38.3 |
| 51.98 | 23.6 |